Structure and simulated X-ray diffraction stick pattern of LiYTh2S4 (a structure optimized by DFT (GGA-PBE); Cu Kα (weighted mean of Kα1 and Kα2)).
Lines closer than 0.1° are merged.

Largest 10 diffraction maxima, in order of rising 2θ, 2θ = 5–70°:
2theta, I_rel
13.19, 91.9
26.56, 32.0
26.95, 63.9
28.04, 75.9
32.02, 100.0
32.16, 49.2
34.81, 37.9
45.04, 56.6
46.96, 34.1
54.69, 28.2

Cell and atoms:
```
LiYTh2S4
1.0
6.696 0.000 0.000
0.000 3.880 0.000
-2.209 0.000 6.710
Li Y Th S
1 1 2 4
Direct
0.000 0.000 0.000 Li
0.500 0.500 0.000 Y
0.000 0.500 0.500 Th
0.500 0.000 0.500 Th
0.237 0.500 0.229 S
0.248 0.000 0.770 S
0.752 0.000 0.230 S
0.763 0.500 0.771 S
```